No. 1
Starting from a cell relaxed with GGA-PBE, the XRD peak list of Ce3GaIr was computed for Cu Kα, 1.54184 Å.
Peak positions follow from Bragg's law for the DFT cell and can differ from measured ones.

Principal peaks in the range 2θ from 10° to 90°, low angle first:
Position (°2θ), d/Å, Rel. int.
11.1, 7.953, 22
19.6, 4.518, 23
32.7, 2.736, 36
33.1, 2.704, 37
35.2, 2.552, 36
35.4, 2.539, 100
39.4, 2.287, 52
39.9, 2.259, 23
40.6, 2.222, 36
60.5, 1.529, 20

Cell and atoms:
abc: 9.147 8.621 5.611
angles: 76.77 66.56 36.67
Fractional coordinates of all 10 atoms:
1 Ce 0.199 0.199 0.801
2 Ce 0.206 0.613 0.387
3 Ce 0.387 0.794 0.206
4 Ce 0.613 0.206 0.794
5 Ce 0.794 0.387 0.613
6 Ce 0.801 0.801 0.199
7 Ga 0.189 0.811 0.811
8 Ga 0.811 0.189 0.189
9 Ir 0.250 0.250 0.250
10 Ir 0.750 0.750 0.750

No. 2
Starting from a cell relaxed with GGA-PBE, the XRD peak list of Sc2Cd2H was computed for Cu Kα, 1.54184 Å.
Peak positions follow from Bragg's law for the DFT cell and can differ from measured ones.

Principal peaks in the range 2θ from 10° to 90°, low angle first:
Position (°2θ), d/Å, Rel. int.
16.9, 5.245, 28
20.6, 4.308, 14
29.3, 3.046, 18
32.9, 2.724, 14
34.2, 2.622, 28
37.2, 2.418, 100
47.2, 1.926, 12
59.5, 1.553, 11
63.2, 1.471, 19
65.7, 1.422, 15

Cell and atoms:
abc: 6.092 6.092 5.245
angles: 90.00 90.00 90.00
Fractional coordinates of all 10 atoms:
1 Sc 0.169 0.331 0.000
2 Sc 0.331 0.831 0.000
3 Sc 0.669 0.169 0.000
4 Sc 0.831 0.669 0.000
5 Cd 0.161 0.661 0.500
6 Cd 0.339 0.161 0.500
7 Cd 0.661 0.839 0.500
8 Cd 0.839 0.339 0.500
9 H 0.000 0.000 0.000
10 H 0.500 0.500 0.000

No. 3
Starting from a cell relaxed with GGA-PBE, the XRD peak list of Ac4AgPb3 was computed for Cu Kα, 1.54184 Å.
Peak positions follow from Bragg's law for the DFT cell and can differ from measured ones.

Principal peaks in the range 2θ from 10° to 90°, low angle first:
Position (°2θ), d/Å, Rel. int.
27.1, 3.295, 100
28.3, 3.152, 21
28.6, 3.121, 32
34.0, 2.640, 75
34.2, 2.622, 18
37.2, 2.416, 52
47.6, 1.910, 38
53.7, 1.708, 19
61.9, 1.499, 18
65.1, 1.433, 14

Cell and atoms:
abc: 4.826 4.836 12.484
angles: 90.00 90.00 90.00
Fractional coordinates of all 8 atoms:
1 Ac 0.000 0.000 0.000
2 Ac 0.000 0.500 0.262
3 Ac 0.500 0.000 0.486
4 Ac 0.500 0.500 0.767
5 Ag 0.500 0.000 0.207
6 Pb 0.000 0.000 0.722
7 Pb 0.000 0.500 0.537
8 Pb 0.500 0.500 0.049

Copy entry 3 word for word.
Starting from a cell relaxed with GGA-PBE, the XRD peak list of Ac4AgPb3 was computed for Cu Kα, 1.54184 Å.
Peak positions follow from Bragg's law for the DFT cell and can differ from measured ones.

Principal peaks in the range 2θ from 10° to 90°, low angle first:
Position (°2θ), d/Å, Rel. int.
27.1, 3.295, 100
28.3, 3.152, 21
28.6, 3.121, 32
34.0, 2.640, 75
34.2, 2.622, 18
37.2, 2.416, 52
47.6, 1.910, 38
53.7, 1.708, 19
61.9, 1.499, 18
65.1, 1.433, 14

Cell and atoms:
abc: 4.826 4.836 12.484
angles: 90.00 90.00 90.00
Fractional coordinates of all 8 atoms:
1 Ac 0.000 0.000 0.000
2 Ac 0.000 0.500 0.262
3 Ac 0.500 0.000 0.486
4 Ac 0.500 0.500 0.767
5 Ag 0.500 0.000 0.207
6 Pb 0.000 0.000 0.722
7 Pb 0.000 0.500 0.537
8 Pb 0.500 0.500 0.049